Starting from a DFT-relaxed cell (GGA+U, the Materials Project), the powder diffraction line list of K2RbScV2O8 was calculated for Cu Kα (weighted mean of Kα1 and Kα2).
Intensities are scaled so that the largest is 100.

Structural model:
```
K2RbScV2O8
1.0
5.8551 0.0000 0.0000
-2.9275 5.0707 0.0000
0.0000 0.0000 7.6713
K Rb Sc V O
2 1 1 2 8
Cartesian
0.0000 3.3804 1.5160 K
2.9276 1.6902 6.1553 K
0.0000 0.0000 3.8356 Rb
0.0000 0.0000 0.0000 Sc
0.0000 3.3804 5.8162 V
2.9276 1.6902 1.8551 V
0.0000 1.7195 6.4175 O
-1.4384 4.2109 6.4175 O
0.0000 3.3804 4.1300 O
1.4891 0.8598 1.2538 O
1.4384 4.2109 6.4175 O
2.9276 1.6902 3.5412 O
4.3660 0.8598 1.2538 O
2.9275 3.3512 1.2538 O
```

Principal peaks in the range 2θ from 10° to 80°, in order of rising 2θ:
d (Å)  I_rel
4.230  21
3.059  85
2.928  100
2.557  14
2.115  48
1.714  28
1.690  17
1.604  24
1.464  19
1.320  12


Starting from a DFT-relaxed cell (GGA+U, the Materials Project), the powder diffraction line list of K2RbSmV2O8 was calculated for Cu Kα (weighted mean of Kα1 and Kα2).
Intensities are scaled so that the largest is 100.

Structural model:
```
K2RbSmV2O8
1.0
6.1020 0.0000 0.0000
-3.0510 5.2845 0.0000
0.0000 0.0000 7.9453
K Rb Sm V O
2 1 1 2 8
Cartesian
0.0000 3.5230 1.6109 K
3.0510 1.7615 6.3344 K
0.0000 0.0000 3.9727 Rb
0.0000 0.0000 0.0000 Sm
0.0000 3.5230 5.9649 V
3.0510 1.7615 1.9804 V
0.0000 1.8637 6.5684 O
-1.4370 4.3526 6.5684 O
0.0000 3.5230 4.2770 O
1.6140 0.9318 1.3769 O
1.4370 4.3526 6.5684 O
3.0510 1.7615 3.6683 O
4.4880 0.9318 1.3769 O
3.0510 3.4208 1.3769 O
```

Principal peaks in the range 2θ from 10° to 80°, in order of rising 2θ:
d (Å)  I_rel
7.945  17
5.284  33
4.400  22
3.175  100
3.051  88
2.200  49
1.784  35
1.761  16
1.665  24
1.525  16


Starting from a DFT-relaxed cell (GGA+U, the Materials Project), the powder diffraction line list of K2RbYV2O8 was calculated for Cu Kα (weighted mean of Kα1 and Kα2).
Intensities are scaled so that the largest is 100.

Structural model:
```
K2RbYV2O8
1.0
6.0413 0.0000 0.0000
-3.0207 5.2320 0.0000
0.0000 0.0000 7.8546
K Rb Y V O
2 1 1 2 8
Cartesian
0.0000 3.4880 1.5870 K
3.0207 1.7440 6.2676 K
0.0000 0.0000 3.9273 Rb
0.0000 0.0000 0.0000 Y
0.0000 3.4880 5.9123 V
3.0207 1.7440 1.9422 V
0.0000 1.8258 6.5125 O
-1.4395 4.3191 6.5125 O
0.0000 3.4880 4.2300 O
1.5812 0.9129 1.3420 O
1.4395 4.3191 6.5125 O
3.0207 1.7440 3.6245 O
4.4602 0.9129 1.3420 O
3.0207 3.4062 1.3420 O
```

Principal peaks in the range 2θ from 10° to 80°, in order of rising 2θ:
d (Å)  I_rel
5.232  18
4.354  14
3.141  99
3.021  100
2.177  52
1.766  33
1.744  18
1.646  26
1.510  18
1.361  15


Starting from a DFT-relaxed cell (GGA+U, the Materials Project), the powder diffraction line list of KVSO6 was calculated for Cu Kα (weighted mean of Kα1 and Kα2).
Intensities are scaled so that the largest is 100.

Structural model:
```
KVSO6
1.0
5.5584 0.0000 0.0000
0.0000 8.6406 0.0000
0.0000 0.0000 11.2655
K V S O
4 4 4 24
Cartesian
0.1506 1.6376 1.5800 K
2.6286 7.0030 7.2128 K
2.9299 2.6827 9.6855 K
5.4078 5.9579 4.0527 K
0.1790 5.6537 10.5605 V
2.6002 2.9869 4.9278 V
2.9582 7.3073 0.7050 V
5.3795 1.3334 6.3377 V
0.1851 0.4668 8.8901 S
2.5941 8.1738 3.2573 S
2.9643 3.8535 2.3755 S
5.3734 4.7871 8.0082 S
0.0400 8.5603 5.5646 O
0.0614 1.2659 10.0982 O
0.6004 7.7257 9.1012 O
0.9690 2.4492 5.5328 O
1.0989 4.8750 8.8528 O
1.1593 1.1206 7.8858 O
1.6199 7.5200 2.2530 O
1.6804 3.7656 3.2200 O
1.8102 6.1914 11.1656 O
2.1789 0.9149 3.4685 O
2.7179 7.3748 4.4655 O
2.7393 0.0803 11.1974 O
2.8192 4.4006 5.7009 O
2.8406 3.0545 1.1673 O
3.3796 5.2352 2.1643 O
3.7482 1.8711 5.7327 O
3.8781 8.0859 2.4127 O
3.9386 3.1997 3.3797 O
4.3991 5.4410 9.0125 O
4.4596 0.5547 8.0455 O
4.5895 6.7695 0.0999 O
4.9581 3.4054 7.7971 O
5.4971 5.5862 6.8001 O
5.5185 4.2400 0.0681 O
```

Principal peaks in the range 2θ from 10° to 80°, in order of rising 2θ:
d (Å)  I_rel
6.856  36
4.985  72
4.034  25
3.597  72
3.444  29
3.411  100
3.265  37
2.928  60
2.779  36
2.162  21